[1]
For Cs2RbPa2S7, a cell relaxed with GGA-PBE gives the theoretical XRD peak list in this record (Cu Kα (λ = 1.5418 Å)).
Neutral-atom scattering factors, no anomalous dispersion.

Cell and atoms:
a = 7.525 Å, b = 7.524 Å, c = 14.598 Å
α = 90.00°, β = 104.88°, γ = 90.00°
Space group C2/m (No. 12)
Unique sites:
Cs  0.186  0.000  0.373 (multiplicity 4)
Rb  0.000  0.000  0.000 (multiplicity 2)
Pa  0.094  0.500  0.189 (multiplicity 4)
S  0.000  0.500  0.000 (multiplicity 2)
S  0.159  0.250  0.818 (multiplicity 8)
S  0.184  0.500  0.368 (multiplicity 4)

Largest 8 diffraction maxima, sorted by position, 10° ≤ 2θ ≤ 80°:
2θ/deg, I (rel.)
12.55, 21
16.96, 27
22.97, 100
23.65, 60
33.69, 45
39.94, 22
41.17, 45
46.94, 24

***

[2]
For CsRb2Pa3S8, a cell relaxed with GGA-PBE gives the theoretical XRD peak list in this record (Cu Kα (λ = 1.5418 Å)).
Neutral-atom scattering factors, no anomalous dispersion.

Cell and atoms:
a = 8.3192 Å, b = 8.3192 Å, c = 24.2246 Å
α = 90.00°, β = 90.00°, γ = 120.00°
Space group R3m (No. 160, hexagonal axes)
Unique sites:
Cs  0.0000  0.0000  0.0000 (multiplicity 3)
Rb  0.0000  0.0000  0.2671 (multiplicity 3)
Rb  0.0000  0.0000  0.6360 (multiplicity 3)
Pa  0.0006  0.5003  0.1359 (multiplicity 9)
S  0.0000  0.0000  0.4097 (multiplicity 3)
S  0.0000  0.0000  0.8601 (multiplicity 3)
S  0.0397  0.5199  0.4111 (multiplicity 9)
S  0.1855  0.3710  0.1948 (multiplicity 9)

Largest 8 diffraction maxima, sorted by position, 10° ≤ 2θ ≤ 80°:
2θ/deg, I (rel.)
10.96, 100
22.06, 66
24.07, 84
24.99, 77
28.84, 66
35.99, 65
38.85, 55
43.51, 54

***

[3]
For Cs3Rb2PaSe6, a cell relaxed with GGA-PBE gives the theoretical XRD peak list in this record (Cu Kα (λ = 1.5418 Å)).
Neutral-atom scattering factors, no anomalous dispersion.

Cell and atoms:
a = 8.534 Å, b = 14.621 Å, c = 8.581 Å
α = 90.00°, β = 109.52°, γ = 90.00°
Space group C2/m (No. 12)
Unique sites:
Cs  0.000  0.000  0.000 (multiplicity 2)
Cs  0.000  0.322  0.000 (multiplicity 4)
Rb  0.000  0.165  0.500 (multiplicity 4)
Pa  0.000  0.500  0.500 (multiplicity 2)
Se  0.197  0.500  0.299 (multiplicity 4)
Se  0.201  0.365  0.699 (multiplicity 8)

Largest 8 diffraction maxima, sorted by position, 10° ≤ 2θ ≤ 80°:
2θ/deg, I (rel.)
12.56, 21
14.04, 16
25.49, 51
25.68, 100
36.41, 48
36.57, 32
36.89, 16
45.36, 17

***

[4]
For CsPaRuS3, a cell relaxed with GGA-PBE gives the theoretical XRD peak list in this record (Cu Kα (λ = 1.5418 Å)).
Neutral-atom scattering factors, no anomalous dispersion.

Cell and atoms:
a = 9.488 Å, b = 3.921 Å, c = 9.745 Å
α = 90.00°, β = 113.41°, γ = 90.00°
Space group P2_1/m (No. 11)
Unique sites:
Cs  0.211  0.250  0.248 (multiplicity 2)
Pa  0.315  0.750  0.833 (multiplicity 2)
Ru  0.085  0.250  0.596 (multiplicity 2)
S  0.131  0.250  0.855 (multiplicity 2)
S  0.194  0.750  0.540 (multiplicity 2)
S  0.468  0.750  0.143 (multiplicity 2)

Largest 8 diffraction maxima, sorted by position, 10° ≤ 2θ ≤ 80°:
2θ/deg, I (rel.)
11.01, 100
20.40, 20
22.13, 49
24.80, 26
29.62, 45
30.69, 37
35.94, 22
53.71, 19

***

[5]
For Cs3Pa4S12, a cell relaxed with GGA-PBE gives the theoretical XRD peak list in this record (Cu Kα (λ = 1.5418 Å)).
Neutral-atom scattering factors, no anomalous dispersion.

Cell and atoms:
a = 10.578 Å, b = 10.578 Å, c = 10.578 Å
α = 90.00°, β = 90.00°, γ = 90.00°
Space group Im-3m (No. 229)
Unique sites:
Cs  0.000  0.000  0.500 (multiplicity 6)
Pa  0.250  0.250  0.250 (multiplicity 8)
S  0.000  0.251  0.251 (multiplicity 24)

Largest 8 diffraction maxima, sorted by position, 10° ≤ 2θ ≤ 80°:
2θ/deg, I (rel.)
16.76, 36
23.79, 100
33.90, 44
38.04, 19
41.84, 47
48.69, 31
54.89, 22
66.10, 25

***

[6]
For Cs2PaS5, a cell relaxed with GGA-PBE gives the theoretical XRD peak list in this record (Cu Kα (λ = 1.5418 Å)).
Neutral-atom scattering factors, no anomalous dispersion.

Cell and atoms:
a = 5.509 Å, b = 7.612 Å, c = 8.847 Å
α = 114.88°, β = 90.17°, γ = 111.01°
Space group P1 (No. 1)
Unique sites:
Cs  0.000  0.000  0.000 (multiplicity 1)
Cs  0.362  0.718  0.331 (multiplicity 1)
Pa  0.209  0.415  0.681 (multiplicity 1)
S  0.394  0.788  0.735 (multiplicity 1)
S  0.408  0.243  0.421 (multiplicity 1)
S  0.528  0.442  0.923 (multiplicity 1)
S  0.837  0.243  0.421 (multiplicity 1)
S  0.918  0.442  0.923 (multiplicity 1)

Largest 8 diffraction maxima, sorted by position, 10° ≤ 2θ ≤ 80°:
2θ/deg, I (rel.)
17.55, 100
20.44, 49
21.59, 41
22.54, 84
24.85, 52
25.10, 73
26.03, 80
32.52, 39